Record 1
For TmF3, a crystal structure in the Materials Project, relaxed with GGA-PBE gives the computed powder XRD pattern in this record (Cu Ka).
No peak broadening, texture or thermal motion is included.

The 10 most intense peaks (15 to 90 degrees two-theta), by angle:
- d 3.193, 2θ 27.95, I 26, (0 0 2)
- d 3.143, 2θ 28.40, I 100, (1 0 1)
- d 2.553, 2θ 35.16, I 29, (1 1 0)
- d 1.994, 2θ 45.50, I 64, (1 1 2)
- d 1.833, 2θ 49.73, I 23, (1 0 3)
- d 1.805, 2θ 50.57, I 23, (2 0 0)
- d 1.571, 2θ 58.77, I 14, (2 0 2)
- d 1.565, 2θ 59.02, I 27, (2 1 1)
- d 1.286, 2θ 73.65, I 15, (2 1 3)
- d 1.196, 2θ 80.29, I 11, (2 0 4)

Structure:
Cell lengths 3.610, 3.610, 6.385 Å; angles 90.00, 90.00, 90.00 degrees
Space group I4/mmm (No. 139)
Symmetry-distinct sites (fractional):
1 Tm 0.000 0.000 0.000 x2
2 F 0.000 0.000 0.500 x2
3 F 0.000 0.500 0.250 x4

***

Record 2
For TmF3, a crystal structure in the Materials Project, relaxed with GGA-PBE gives the computed powder XRD pattern in this record (Cu Ka).
No peak broadening, texture or thermal motion is included.

The 9 most intense peaks (15 to 90 degrees two-theta), by angle:
- d 3.177, 2θ 28.09, I 100, (1 1 1)
- d 2.751, 2θ 32.54, I 52, (2 0 0)
- d 1.946, 2θ 46.69, I 87, (2 2 0)
- d 1.659, 2θ 55.37, I 48, (3 1 1)
- d 1.589, 2θ 58.06, I 14, (2 2 2)
- d 1.376, 2θ 68.16, I 13, (4 0 0)
- d 1.262, 2θ 75.27, I 20, (3 3 1)
- d 1.230, 2θ 77.59, I 19, (4 2 0)
- d 1.123, 2θ 86.68, I 27, (4 2 2)

Structure:
Cell lengths 5.503, 5.503, 5.503 Å; angles 90.00, 90.00, 90.00 degrees
Space group Fm-3m (No. 225)
Symmetry-distinct sites (fractional):
1 Tm 0.000 0.000 0.000 x4
2 F 0.000 0.000 0.500 x4
3 F 0.250 0.250 0.250 x8

***

Record 3
For UF3, a crystal structure in the Materials Project, relaxed with GGA-PBE gives the computed powder XRD pattern in this record (Cu Ka).
No peak broadening, texture or thermal motion is included.

The 10 most intense peaks (15 to 90 degrees two-theta), by angle:
- d 3.699, 2θ 24.06, I 35, (0 0 2)
- d 3.601, 2θ 24.72, I 25, (1 1 0)
- d 3.238, 2θ 27.55, I 100, (1 1 1)
- d 2.079, 2θ 43.53, I 34, (3 0 0)
- d 2.035, 2θ 44.53, I 44, (1 1 3)
- d 1.812, 2θ 50.35, I 31, (3 0 2)
- d 1.749, 2θ 52.30, I 19, (2 2 1)
- d 1.454, 2θ 64.03, I 14, (2 2 3)
- d 1.339, 2θ 70.33, I 17, (4 1 1)
- d 1.192, 2θ 80.63, I 14, (4 1 3)

Structure:
Cell lengths 7.2017, 7.2017, 7.3987 Å; angles 90.00, 90.00, 120.00 degrees
Space group P6_3cm (No. 185)
Symmetry-distinct sites (fractional):
1 U 0.0000 0.3264 0.0000 x6
2 F 0.0000 0.0000 0.0688 x2
3 F 0.0000 0.2788 0.3267 x6
4 F 0.0000 0.3768 0.6653 x6
5 F 0.3333 0.6667 0.4513 x4

***

Record 4
For UF6, a crystal structure in the Materials Project, relaxed with GGA-PBE gives the computed powder XRD pattern in this record (Cu Ka).
No peak broadening, texture or thermal motion is included.

The 10 most intense peaks (15 to 90 degrees two-theta), by angle:
- d 4.733, 2θ 18.75, I 42, (1 0 1)
- d 4.627, 2θ 19.18, I 80, (0 2 0)
- d 4.465, 2θ 19.88, I 100, (2 1 0)
- d 4.214, 2θ 21.08, I 69, (1 1 1)
- d 3.308, 2θ 26.95, I 32, (1 2 1)
- d 2.739, 2θ 32.69, I 16, (3 1 1)
- d 2.639, 2θ 33.97, I 23, (2 3 0)
- d 2.438, 2θ 36.88, I 17, (3 2 1)
- d 2.233, 2θ 40.40, I 21, (4 2 0)
- d 2.100, 2θ 43.07, I 22, (3 0 2)

Structure:
Cell lengths 10.197, 9.252, 5.343 Å; angles 90.00, 90.00, 90.00 degrees
Space group Pnma (No. 62)
Symmetry-distinct sites (fractional):
1 U 0.130 0.250 0.081 x4
2 F 0.013 0.250 0.776 x4
3 F 0.017 0.093 0.234 x8
4 F 0.244 0.099 0.917 x8
5 F 0.246 0.250 0.390 x4

***

Record 5
For UF3, a crystal structure in the Materials Project, relaxed with GGA-PBE gives the computed powder XRD pattern in this record (Cu Ka).
No peak broadening, texture or thermal motion is included.

The 10 most intense peaks (15 to 90 degrees two-theta), by angle:
- d 3.495, 2θ 25.49, I 29, (0 0 2)
- d 3.286, 2θ 27.14, I 100, (1 0 1)
- d 2.632, 2θ 34.06, I 28, (1 1 0)
- d 2.103, 2θ 43.02, I 56, (1 1 2)
- d 1.975, 2θ 45.95, I 26, (1 0 3)
- d 1.861, 2θ 48.93, I 19, (2 0 0)
- d 1.643, 2θ 55.97, I 15, (2 0 2)
- d 1.620, 2θ 56.85, I 28, (2 1 1)
- d 1.355, 2θ 69.37, I 16, (2 1 3)
- d 1.116, 2θ 87.42, I 15, (3 1 2)

Structure:
Cell lengths 3.723, 3.723, 6.990 Å; angles 90.00, 90.00, 90.00 degrees
Space group I4/mmm (No. 139)
Symmetry-distinct sites (fractional):
1 U 0.000 0.000 0.000 x2
2 F 0.000 0.000 0.500 x2
3 F 0.000 0.500 0.250 x4

***

Record 6
For UF4, a crystal structure in the Materials Project, relaxed with GGA-PBE gives the computed powder XRD pattern in this record (Cu Ka).
No peak broadening, texture or thermal motion is included.

The 10 most intense peaks (15 to 90 degrees two-theta), by angle:
- d 4.235, 2θ 20.98, I 100, (0 2 1)
- d 3.975, 2θ 22.37, I 58, (3 1 -1)
- d 3.754, 2θ 23.70, I 91, (2 2 0)
- d 3.581, 2θ 24.86, I 43, (3 1 -2)
- d 3.322, 2θ 26.83, I 46, (1 3 -1)
- d 3.299, 2θ 27.03, I 26, (3 1 0)
- d 2.094, 2θ 43.20, I 28, (2 4 1)
- d 2.085, 2θ 43.41, I 27, (1 3 -3)
- d 1.959, 2θ 46.36, I 32, (6 2 -3)
- d 1.897, 2θ 47.96, I 23, (6 0 -4)

Structure:
Cell lengths 12.880, 10.851, 8.431 Å; angles 90.00, 126.24, 90.00 degrees
Space group C2/c (No. 15)
Symmetry-distinct sites (fractional):
1 U 0.000 0.213 0.250 x4
2 U 0.204 0.428 0.830 x8
3 F 0.000 0.399 0.750 x4
4 F 0.105 0.295 0.573 x8
5 F 0.121 0.376 0.291 x8
6 F 0.122 0.055 0.455 x8
7 F 0.124 0.150 0.152 x8
8 F 0.208 0.469 0.104 x8
9 F 0.250 0.250 0.000 x4